Computed powder diffractogram
Compound: Cs2Tl3I5
Radiation: λ = 1.5418 Å (Cu Kα)
Structure: a cell relaxed with PBE

Structure:
Cell lengths 18.5774, 5.1704, 13.2855 Å; angles 90.00, 125.89, 90.00 degrees
Space group C2/m (No. 12)
Inequivalent atoms, fractional coordinates:
Cs 0.1671 0.0000 0.2650
Tl 0.0000 0.0000 0.5000
Tl 0.1147 0.5000 0.8700
I 0.0000 0.5000 0.0000
I 0.0924 0.5000 0.4166
I 0.2024 0.0000 0.8040

Largest 10 diffraction maxima, sorted by position, 2θ = 10–80°:
hkl 1 1 1, 21.3 deg, intensity 19.3; hkl 3 1 -2, 23.2 deg, intensity 100.0; hkl 2 0 2, 25.4 deg, intensity 60.4; hkl 5 1 -3, 30.6 deg, intensity 20.4; hkl 6 0 -4, 31.4 deg, intensity 22.5; hkl 5 1 0, 34.5 deg, intensity 31.7; hkl 0 2 0, 34.7 deg, intensity 30.7; hkl 1 1 -4, 34.9 deg, intensity 28.4; hkl 3 1 -5, 38.7 deg, intensity 17.1; hkl 2 2 2, 43.5 deg, intensity 28.6